[1]
Calculated PXRD pattern of Nd3Ga10Ni for Cu Kα, from a DFT-relaxed cell (GGA-PBE, OQMD).

Principal peaks in the range 2θ = 5–70°, in order of rising 2θ:
h k l  d/Å  intensity
1 0 4  2.835  43
1 1 2  2.797  100
0 1 6  2.186  31
1 1 5  2.142  18
0 2 0  2.134  31
2 0 0  2.117  31
1 0 8  1.741  14
1 2 4  1.705  19
2 1 6  1.521  19
2 2 0  1.503  20

Cell and atoms:
a b c (Å): 4.233 4.268 15.274
angles (deg): 90.00 90.00 90.00
Fractional positions:
Nd: 0.000 0.000 0.000
Nd: 0.000 0.500 0.254
Nd: 0.000 0.500 0.746
Ga: 0.000 0.000 0.416
Ga: 0.000 0.000 0.584
Ga: 0.500 0.000 0.159
Ga: 0.500 0.000 0.317
Ga: 0.500 0.000 0.683
Ga: 0.500 0.000 0.841
Ga: 0.500 0.500 0.081
Ga: 0.500 0.500 0.416
Ga: 0.500 0.500 0.584
Ga: 0.500 0.500 0.919
Ni: 0.000 0.500 0.500

***

[2]
Calculated PXRD pattern of Re2Pb2O5 for Cu Kα, from a DFT-relaxed cell (GGA-PBE, OQMD).

Principal peaks in the range 2θ = 5–70°, in order of rising 2θ:
h k l  d/Å  intensity
1 0 2  2.788  100
1 1 0  2.769  47
1 1 2  2.271  2
1 0 3  2.193  3
0 0 4  1.985  11
2 0 0  1.958  24
1 1 4  1.614  17
2 1 2  1.603  40
2 0 4  1.394  13
2 2 0  1.385  8

Cell and atoms:
a b c (Å): 3.917 3.917 7.941
angles (deg): 90.00 90.00 90.00
Fractional positions:
Re: 0.000 0.000 0.226
Re: 0.000 0.000 0.774
Pb: 0.500 0.500 0.000
Pb: 0.500 0.500 0.500
O: 0.000 0.000 0.500
O: 0.000 0.500 0.238
O: 0.000 0.500 0.762
O: 0.500 0.000 0.238
O: 0.500 0.000 0.762